[1]
Structure and theoretical X-ray diffraction stick pattern of PaTi2BeO8 (a structure optimized by DFT (PBE); a wavelength of 1.5418 Å).
Lines closer than 0.1° are merged.

Main lines, low angle first (10° ≤ 2θ ≤ 90°):
- 14.65°, I 54, (0 0 1)
- 18.71°, I 29, (1 1 0)
- 23.84°, I 100, (1 1 1)
- 25.63°, I 53, (0 2 0)
- 27.49°, I 43, (2 0 0)
- 31.28°, I 25, (2 0 1)
- 35.19°, I 57, (1 1 2)
- 40.84°, I 40, (2 0 2)
- 51.65°, I 32, (1 3 2)
- 53.74°, I 26, (3 1 2)

Crystal structure
a = 6.490 Å, b = 6.951 Å, c = 6.048 Å
α = 90.00°, β = 90.00°, γ = 90.00°
Space group Cmmm (No. 65)
Unique sites:
Pa: 0.000 0.000 0.000 x2
Ti: 0.000 0.500 0.268 x4
Be: 0.000 0.000 0.500 x2
O: 0.000 0.314 0.500 x4
O: 0.000 0.319 0.000 x4
O: 0.194 0.000 0.285 x8

***

[2]
Structure and theoretical X-ray diffraction stick pattern of NaLiGaAu (a structure optimized by DFT (PBE); a wavelength of 1.5418 Å).
Lines closer than 0.1° are merged.

Main lines, low angle first (10° ≤ 2θ ≤ 90°):
- 23.54°, I 92, (1 1 1)
- 27.24°, I 29, (2 0 0)
- 38.91°, I 100, (2 2 0)
- 45.98°, I 48, (3 1 1)
- 56.20°, I 17, (4 0 0)
- 61.76°, I 20, (3 3 1)
- 63.55°, I 11, (4 2 0)
- 70.46°, I 34, (4 2 2)
- 75.45°, I 16, (5 1 1)
- 88.31°, I 17, (5 3 1)

Crystal structure
a = 6.547 Å, b = 6.547 Å, c = 6.547 Å
α = 90.00°, β = 90.00°, γ = 90.00°
Space group F-43m (No. 216)
Unique sites:
Na: 0.000 0.000 0.000 x4
Li: 0.250 0.250 0.750 x4
Ga: 0.250 0.250 0.250 x4
Au: 0.000 0.000 0.500 x4

***

[3]
Structure and theoretical X-ray diffraction stick pattern of AcAg7Au12 (a structure optimized by DFT (PBE); a wavelength of 1.5418 Å).
Lines closer than 0.1° are merged.

Main lines, low angle first (10° ≤ 2θ ≤ 90°):
- 12.44°, I 65, (1 1 0)
- 21.63°, I 33, (2 1 1)
- 28.04°, I 78, (3 1 0)
- 33.32°, I 94, (3 2 1)
- 35.69°, I 55, (4 0 0)
- 37.94°, I 27, (3 3 0)
- 40.07°, I 89, (4 0 2)
- 44.09°, I 100, (4 2 2)
- 53.07°, I 46, (5 3 0)
- 69.96°, I 54, (6 4 2)

Crystal structure
a = 10.062 Å, b = 10.062 Å, c = 10.062 Å
α = 90.00°, β = 90.00°, γ = 90.00°
Space group Im-3 (No. 204)
Unique sites:
Ac: 0.000 0.000 0.000 x2
Ag: 0.000 0.000 0.500 x6
Ag: 0.250 0.250 0.250 x8
Au: 0.000 0.149 0.271 x24

***

[4]
Structure and theoretical X-ray diffraction stick pattern of Sm2Se2O (a structure optimized by DFT (PBE); a wavelength of 1.5418 Å).
Lines closer than 0.1° are merged.

Main lines, low angle first (10° ≤ 2θ ≤ 90°):
- 25.37°, I 72, (1 2 1)
- 25.99°, I 58, (2 0 0)
- 30.45°, I 100, (0 0 2)
- 31.22°, I 88, (2 1 1)
- 31.42°, I 65, (0 4 0)
- 37.48°, I 54, (1 4 1)
- 38.57°, I 48, (2 3 1)
- 40.46°, I 45, (2 0 2)
- 44.32°, I 59, (0 4 2)
- 45.47°, I 41, (3 2 1)

Crystal structure
a = 6.856 Å, b = 11.389 Å, c = 5.871 Å
α = 90.00°, β = 90.00°, γ = 90.00°
Space group Ibam (No. 72)
Unique sites:
Sm: 0.205 0.102 0.000 x8
Se: 0.147 0.356 0.000 x8
O: 0.000 0.000 0.250 x4